Structure and simulated powder diffractogram of LiTi2Zn2P2O10 (a crystal structure in Alexandria, relaxed with PBE; λ = 1.5418 Å (Cu Kα)).

Crystal structure
Cell lengths 5.496, 5.707, 7.533 Å; angles 109.14, 109.06, 92.72 degrees
Space group P1 (No. 1)
Inequivalent atoms, fractional coordinates:
1 Li 0.000 0.000 0.000 [1 per cell]
2 Ti 0.813 0.664 0.623 [1 per cell]
3 Ti 0.840 0.646 0.138 [1 per cell]
4 Zn 0.148 0.376 0.835 [1 per cell]
5 Zn 0.567 0.012 0.363 [1 per cell]
6 P 0.184 0.282 0.383 [1 per cell]
7 P 0.478 0.047 0.899 [1 per cell]
8 O 0.044 0.362 0.537 [1 per cell]
9 O 0.071 0.374 0.207 [1 per cell]
10 O 0.156 0.987 0.287 [1 per cell]
11 O 0.170 0.982 0.797 [1 per cell]
12 O 0.489 0.362 0.489 [1 per cell]
13 O 0.516 0.344 0.980 [1 per cell]
14 O 0.579 0.944 0.072 [1 per cell]
15 O 0.628 0.958 0.756 [1 per cell]
16 O 0.751 0.746 0.383 [1 per cell]
17 O 0.924 0.614 0.892 [1 per cell]

Peak list (10 most intense, 10 to 80 degrees two-theta, by angle)
3.428 Å, rel. 24.7, (0 1 -2); 3.402 Å, rel. 100.0, (1 1 0); 3.317 Å, rel. 9.9, (0 0 2); 3.274 Å, rel. 12.3, (1 1 -2); 2.556 Å, rel. 11.3, (1 -1 2); 2.543 Å, rel. 19.5, (1 -2 0); 2.478 Å, rel. 14.6, (2 -1 0); 2.369 Å, rel. 13.4, (0 1 -3); 1.770 Å, rel. 11.4, (0 3 0); 1.701 Å, rel. 11.3, (2 2 0)